This entry pairs a crystal structure of Lu2MoO6 with its simulated X-ray diffraction stick pattern. Radiation: Cu Ka. Structure: a structure optimized by DFT (PBE+U).
Lines closer than 0.1° are merged.

Principal peaks in the range 2θ from 10° to 90°, sorted by position:
- 29.07 deg, I 100
- 29.36 deg, I 94
- 32.83 deg, I 23
- 33.79 deg, I 21
- 34.93 deg, I 20
- 47.82 deg, I 26
- 48.69 deg, I 27
- 49.01 deg, I 15
- 58.92 deg, I 13
- 59.44 deg, I 14

Structure:
```
Lu2MoO6
1.0
8.114 -5.457 0.000
8.114 5.457 0.000
-1.663 0.000 5.039
Lu Mo O
8 4 24
Direct
0.053 0.282 0.878
0.105 0.895 0.750
0.282 0.053 0.378
0.362 0.638 0.250
0.638 0.362 0.750
0.718 0.947 0.622
0.895 0.105 0.250
0.947 0.718 0.122
0.203 0.489 0.562
0.489 0.203 0.062
0.511 0.797 0.938
0.797 0.511 0.438
0.063 0.476 0.252
0.072 0.110 0.079
0.110 0.072 0.579
0.161 0.695 0.416
0.176 0.619 0.879
0.212 0.313 0.638
0.305 0.839 0.084
0.313 0.212 0.138
0.381 0.824 0.621
0.392 0.453 0.516
0.453 0.392 0.016
0.476 0.063 0.752
0.524 0.937 0.248
0.547 0.608 0.984
0.608 0.547 0.484
0.619 0.176 0.379
0.687 0.788 0.862
0.695 0.161 0.916
0.788 0.687 0.362
0.824 0.381 0.121
0.839 0.305 0.584
0.890 0.928 0.421
0.928 0.890 0.921
0.937 0.524 0.748
```

***

This entry pairs a crystal structure of Ca12FeCo7O24 with its simulated X-ray diffraction stick pattern. Radiation: Cu Ka. Structure: a structure optimized by DFT (PBE+U).
Lines closer than 0.1° are merged.

Principal peaks in the range 2θ from 10° to 90°, sorted by position:
- 19.27 deg, I 100
- 32.07 deg, I 58
- 33.67 deg, I 99
- 33.78 deg, I 48
- 41.05 deg, I 35
- 41.66 deg, I 22
- 45.73 deg, I 51
- 45.83 deg, I 25
- 47.16 deg, I 42
- 61.68 deg, I 30

Structure:
```
Ca12FeCo7O24
1.0
6.372 0.000 0.000
0.000 9.232 0.000
-0.547 0.000 8.766
Ca Fe Co O
12 1 7 24
Direct
0.000 0.000 0.000
0.000 0.496 0.500
0.129 0.312 0.184
0.132 0.817 0.685
0.368 0.445 0.814
0.369 0.949 0.317
0.500 0.260 0.500
0.500 0.764 0.000
0.631 0.949 0.683
0.632 0.445 0.186
0.868 0.817 0.315
0.871 0.312 0.816
0.500 0.130 0.000
0.000 0.130 0.500
0.000 0.633 0.000
0.250 0.130 0.750
0.250 0.630 0.250
0.500 0.628 0.500
0.750 0.130 0.250
0.750 0.630 0.750
0.040 0.065 0.279
0.048 0.562 0.779
0.153 0.799 0.118
0.155 0.292 0.624
0.212 0.229 0.941
0.212 0.731 0.445
0.287 0.032 0.559
0.288 0.530 0.055
0.343 0.967 0.876
0.346 0.461 0.382
0.452 0.699 0.720
0.459 0.195 0.223
0.541 0.195 0.777
0.548 0.699 0.280
0.654 0.461 0.618
0.657 0.967 0.124
0.712 0.530 0.945
0.713 0.032 0.441
0.788 0.229 0.059
0.788 0.731 0.555
0.845 0.292 0.376
0.847 0.799 0.882
0.952 0.562 0.221
0.960 0.065 0.721
```

***

This entry pairs a crystal structure of HfMg6VO8 with its simulated X-ray diffraction stick pattern. Radiation: Cu Ka. Structure: a structure optimized by DFT (PBE+U).
Lines closer than 0.1° are merged.

Principal peaks in the range 2θ from 10° to 90°, sorted by position:
- 10.05 deg, I 74
- 20.17 deg, I 38
- 20.34 deg, I 74
- 22.73 deg, I 56
- 28.80 deg, I 63
- 35.51 deg, I 73
- 41.00 deg, I 51
- 41.36 deg, I 100
- 46.47 deg, I 34
- 59.65 deg, I 61

Structure:
```
HfMg6VO8
1.0
4.366 0.000 0.000
0.000 4.366 0.000
0.000 0.000 8.805
Hf Mg V O
1 6 1 8
Direct
0.000 0.000 0.000
0.000 0.500 0.258
0.000 0.500 0.742
0.500 0.000 0.258
0.500 0.000 0.742
0.500 0.500 0.000
0.500 0.500 0.500
0.000 0.000 0.500
0.000 0.000 0.253
0.000 0.000 0.747
0.000 0.500 0.000
0.000 0.500 0.500
0.500 0.000 0.000
0.500 0.000 0.500
0.500 0.500 0.252
0.500 0.500 0.748
```

***

This entry pairs a crystal structure of Sr2ScFePO3 with its simulated X-ray diffraction stick pattern. Radiation: Cu Ka. Structure: a structure optimized by DFT (PBE+U).
Lines closer than 0.1° are merged.

Principal peaks in the range 2θ from 10° to 90°, sorted by position:
- 22.47 deg, I 18
- 30.98 deg, I 35
- 31.24 deg, I 100
- 31.49 deg, I 22
- 35.33 deg, I 26
- 38.40 deg, I 22
- 40.28 deg, I 19
- 44.39 deg, I 52
- 55.28 deg, I 38
- 55.76 deg, I 22

Structure:
```
Sr2ScFePO3
1.0
4.082 0.000 0.000
0.000 4.082 0.000
0.000 0.000 16.069
Sr Sc Fe P O
4 2 2 2 6
Direct
0.250 0.250 0.085
0.250 0.250 0.308
0.750 0.750 0.692
0.750 0.750 0.915
0.250 0.250 0.808
0.750 0.750 0.192
0.250 0.750 0.500
0.750 0.250 0.500
0.250 0.250 0.592
0.750 0.750 0.408
0.250 0.250 0.933
0.250 0.750 0.213
0.250 0.750 0.787
0.750 0.250 0.213
0.750 0.250 0.787
0.750 0.750 0.067
```

***

This entry pairs a crystal structure of Na6V2AsC4O16 with its simulated X-ray diffraction stick pattern. Radiation: Cu Ka. Structure: a structure optimized by DFT (PBE+U).
Lines closer than 0.1° are merged.

Principal peaks in the range 2θ from 10° to 90°, sorted by position:
- 17.66 deg, I 34
- 20.73 deg, I 91
- 32.75 deg, I 100
- 35.75 deg, I 61
- 45.60 deg, I 15
- 47.91 deg, I 17
- 49.26 deg, I 14
- 56.06 deg, I 37
- 62.34 deg, I 13
- 68.29 deg, I 16

Structure:
```
Na6V2AsC4O16
1.0
0.000 7.104 7.104
7.104 0.000 7.104
7.104 7.104 0.000
Na V As C O
12 4 2 8 32
Direct
0.084 0.084 0.666
0.084 0.666 0.084
0.084 0.666 0.666
0.334 0.334 0.916
0.334 0.916 0.334
0.334 0.916 0.916
0.666 0.084 0.084
0.666 0.084 0.666
0.666 0.666 0.084
0.916 0.334 0.334
0.916 0.334 0.916
0.916 0.916 0.334
0.000 0.500 0.500
0.500 0.000 0.500
0.500 0.500 0.000
0.500 0.500 0.500
0.125 0.125 0.125
0.875 0.875 0.875
0.286 0.286 0.286
0.286 0.286 0.643
0.286 0.643 0.286
0.357 0.714 0.714
0.643 0.286 0.286
0.714 0.357 0.714
0.714 0.714 0.357
0.714 0.714 0.714
0.055 0.055 0.055
0.055 0.055 0.335
0.055 0.335 0.055
0.145 0.311 0.645
0.145 0.399 0.311
0.145 0.645 0.399
0.311 0.145 0.399
0.311 0.399 0.645
0.311 0.645 0.145
0.335 0.055 0.055
0.355 0.601 0.855
0.355 0.689 0.601
0.355 0.855 0.689
0.399 0.145 0.645
0.399 0.311 0.145
0.399 0.645 0.311
0.601 0.355 0.689
0.601 0.689 0.855
0.601 0.855 0.355
0.645 0.145 0.311
0.645 0.311 0.399
0.645 0.399 0.145
0.665 0.945 0.945
0.689 0.355 0.855
0.689 0.601 0.355
0.689 0.855 0.601
0.855 0.355 0.601
0.855 0.601 0.689
0.855 0.689 0.355
0.945 0.665 0.945
0.945 0.945 0.665
0.945 0.945 0.945
```

***

This entry pairs a crystal structure of Li9Mn12Ni3O32 with its simulated X-ray diffraction stick pattern. Radiation: Cu Ka. Structure: a structure optimized by DFT (PBE+U).
Lines closer than 0.1° are merged.

Principal peaks in the range 2θ from 10° to 90°, sorted by position:
- 18.54 deg, I 100
- 35.90 deg, I 28
- 36.00 deg, I 13
- 37.56 deg, I 7
- 43.64 deg, I 37
- 43.82 deg, I 18
- 57.72 deg, I 11
- 63.41 deg, I 16
- 63.68 deg, I 11
- 80.18 deg, I 6

Structure:
```
Li9Mn12Ni3O32
1.0
5.861 -5.873 0.000
5.861 5.873 0.000
-0.041 0.000 8.264
Li Mn Ni O
9 12 3 32
Direct
0.000 0.000 0.000
0.118 0.626 0.872
0.127 0.120 0.370
0.374 0.882 0.128
0.381 0.377 0.622
0.623 0.619 0.378
0.630 0.126 0.880
0.874 0.370 0.120
0.880 0.873 0.630
0.001 0.495 0.498
0.004 0.247 0.748
0.248 0.497 0.248
0.249 0.251 0.996
0.252 0.005 0.750
0.498 0.502 0.000
0.503 0.752 0.752
0.505 0.999 0.502
0.749 0.751 0.004
0.753 0.996 0.252
0.755 0.245 0.500
0.995 0.748 0.250
0.250 0.750 0.500
0.502 0.249 0.249
0.751 0.498 0.751
0.000 0.482 0.727
0.006 0.726 0.487
0.013 0.510 0.261
0.021 0.253 0.975
0.027 0.019 0.746
0.231 0.736 0.267
0.235 0.503 0.480
0.241 0.238 0.759
0.251 0.268 0.228
0.254 0.023 0.979
0.261 0.491 0.012
0.264 0.769 0.733
0.274 0.994 0.513
0.478 0.499 0.234
0.484 0.273 0.000
0.490 0.987 0.739
0.497 0.765 0.520
0.501 0.522 0.766
0.509 0.739 0.988
0.518 0.000 0.273
0.524 0.231 0.500
0.727 0.516 0.000
0.732 0.749 0.772
0.739 0.010 0.491
0.747 0.979 0.025
0.751 0.226 0.267
0.762 0.759 0.241
0.769 0.476 0.500
0.774 0.249 0.733
0.977 0.746 0.021
0.981 0.973 0.254
0.990 0.261 0.509
```